For Ca2Nb2BiO8, a PBE-relaxed structure gives the theoretical X-ray diffraction stick pattern in this record (Cu Ka).
Peak positions follow from Bragg's law for the DFT cell and can differ from measured ones.

Largest 8 diffraction maxima, low angle first, 2θ from 10° to 90°:
- 18.8°, rel. 58
- 24.6°, rel. 96
- 24.9°, rel. 78
- 25.9°, rel. 60
- 30.3°, rel. 100
- 30.8°, rel. 98
- 31.4°, rel. 96
- 32.1°, rel. 63

Cell and atoms:
Unit cell a=20.134 b=6.616 c=5.584 alpha=90.00 beta=91.15 gamma=90.00
Space group C2/c (No. 15)
Symmetry-distinct sites (fractional):
Ca  0.216  0.158  0.246 [8 per cell]
Nb  0.120  0.352  0.742 [8 per cell]
Bi  0.000  0.177  0.250 [4 per cell]
O  0.064  0.146  0.607 [8 per cell]
O  0.073  0.398  0.062 [8 per cell]
O  0.185  0.423  0.472 [8 per cell]
O  0.189  0.163  0.852 [8 per cell]



For CaNb2Bi2O9, a PBE-relaxed structure gives the theoretical X-ray diffraction stick pattern in this record (Cu Ka).
Peak positions follow from Bragg's law for the DFT cell and can differ from measured ones.

Largest 8 diffraction maxima, low angle first, 2θ from 10° to 90°:
- 22.9°, rel. 43
- 24.8°, rel. 40
- 26.3°, rel. 25
- 32.3°, rel. 51
- 32.5°, rel. 100
- 46.3°, rel. 33
- 46.9°, rel. 33
- 57.7°, rel. 39

Cell and atoms:
Unit cell a=3.919 b=3.919 c=27.117 alpha=90.00 beta=90.00 gamma=90.00
Space group I4/mmm (No. 139)
Symmetry-distinct sites (fractional):
Ca  0.000  0.000  0.000 [2 per cell]
Nb  0.000  0.000  0.428 [4 per cell]
Bi  0.000  0.000  0.297 [4 per cell]
O  0.000  0.000  0.171 [4 per cell]
O  0.000  0.000  0.500 [2 per cell]
O  0.000  0.500  0.070 [8 per cell]
O  0.000  0.500  0.250 [4 per cell]



For CaBi2O4, a PBE-relaxed structure gives the theoretical X-ray diffraction stick pattern in this record (Cu Ka).
Peak positions follow from Bragg's law for the DFT cell and can differ from measured ones.

Largest 8 diffraction maxima, low angle first, 2θ from 10° to 90°:
- 24.8°, rel. 30
- 25.5°, rel. 35
- 29.5°, rel. 20
- 30.0°, rel. 100
- 45.3°, rel. 13
- 47.1°, rel. 31
- 48.1°, rel. 13
- 52.3°, rel. 31

Cell and atoms:
Unit cell a=6.950 b=7.174 c=9.804 alpha=90.00 beta=90.00 gamma=90.00
Space group Imma (No. 74)
Symmetry-distinct sites (fractional):
Ca  0.000  0.000  0.000 [4 per cell]
Bi  0.000  0.250  0.373 [4 per cell]
Bi  0.250  0.250  0.750 [4 per cell]
O  0.000  0.019  0.757 [8 per cell]
O  0.235  0.250  0.994 [8 per cell]



For CaBi2O4, a PBE-relaxed structure gives the theoretical X-ray diffraction stick pattern in this record (Cu Ka).
Peak positions follow from Bragg's law for the DFT cell and can differ from measured ones.

Largest 8 diffraction maxima, low angle first, 2θ from 10° to 90°:
- 15.4°, rel. 31
- 17.8°, rel. 17
- 25.2°, rel. 23
- 29.7°, rel. 100
- 31.1°, rel. 32
- 47.4°, rel. 40
- 51.9°, rel. 39
- 61.7°, rel. 16

Cell and atoms:
Unit cell a=7.0469 b=7.0469 c=17.2922 alpha=90.00 beta=90.00 gamma=120.00
Space group R3m (No. 160, hexagonal axes)
Symmetry-distinct sites (fractional):
Ca  0.0000  0.0000  0.0000 [3 per cell]
Ca  0.0000  0.0000  0.3769 [3 per cell]
Bi  0.0000  0.0000  0.6224 [3 per cell]
Bi  0.1692  0.3383  0.8314 [9 per cell]
O  0.0000  0.0000  0.2410 [3 per cell]
O  0.0000  0.0000  0.7536 [3 per cell]
O  0.0275  0.5138  0.7543 [9 per cell]
O  0.1764  0.3528  0.5817 [9 per cell]



For CaBi2O4, a PBE-relaxed structure gives the theoretical X-ray diffraction stick pattern in this record (Cu Ka).
Peak positions follow from Bragg's law for the DFT cell and can differ from measured ones.

Largest 8 diffraction maxima, low angle first, 2θ from 10° to 90°:
- 15.5°, rel. 20
- 25.4°, rel. 43
- 29.8°, rel. 40
- 29.9°, rel. 100
- 44.8°, rel. 18
- 47.6°, rel. 18
- 47.6°, rel. 26
- 52.2°, rel. 26

Cell and atoms:
Unit cell a=12.156 b=6.996 c=17.198 alpha=90.00 beta=90.25 gamma=90.00
Space group Cm (No. 8)
Symmetry-distinct sites (fractional):
Ca  0.000  0.000  0.000 [2 per cell]
Ca  0.000  0.500  0.499 [2 per cell]
Ca  0.167  0.500  0.333 [2 per cell]
Ca  0.331  0.500  0.792 [2 per cell]
Ca  0.333  0.000  0.665 [2 per cell]
Ca  0.334  0.500  0.167 [2 per cell]
Bi  0.003  0.500  0.874 [2 per cell]
Bi  0.083  0.251  0.665 [4 per cell]
Bi  0.164  0.000  0.456 [2 per cell]
Bi  0.168  0.000  0.828 [2 per cell]
Bi  0.169  0.000  0.209 [2 per cell]
Bi  0.253  0.254  0.000 [4 per cell]
Bi  0.336  0.500  0.543 [2 per cell]
Bi  0.417  0.250  0.333 [4 per cell]
Bi  0.498  0.000  0.123 [2 per cell]
O  0.000  0.500  0.740 [2 per cell]
O  0.001  0.500  0.256 [2 per cell]
O  0.010  0.000  0.747 [2 per cell]
O  0.077  0.268  0.413 [4 per cell]
O  0.087  0.236  0.920 [4 per cell]
O  0.158  0.500  0.584 [2 per cell]
O  0.165  0.000  0.077 [2 per cell]
O  0.167  0.000  0.589 [2 per cell]
O  0.178  0.500  0.081 [2 per cell]
O  0.244  0.229  0.746 [4 per cell]
O  0.256  0.268  0.252 [4 per cell]
O  0.329  0.000  0.918 [2 per cell]
O  0.333  0.500  0.409 [2 per cell]
O  0.333  0.500  0.927 [2 per cell]
O  0.344  0.000  0.414 [2 per cell]
O  0.410  0.266  0.080 [4 per cell]
O  0.423  0.233  0.585 [4 per cell]
O  0.490  0.500  0.251 [2 per cell]



For CaBi2O4, a PBE-relaxed structure gives the theoretical X-ray diffraction stick pattern in this record (Cu Ka).
Peak positions follow from Bragg's law for the DFT cell and can differ from measured ones.

Largest 8 diffraction maxima, low angle first, 2θ from 10° to 90°:
- 14.8°, rel. 100
- 29.2°, rel. 24
- 29.8°, rel. 60
- 32.8°, rel. 32
- 33.4°, rel. 65
- 42.1°, rel. 17
- 42.6°, rel. 37
- 52.1°, rel. 18

Cell and atoms:
Unit cell a=6.890 b=12.009 c=6.127 alpha=90.00 beta=90.00 gamma=90.00
Space group Pmmn (No. 59, origin choice 2)
Symmetry-distinct sites (fractional):
Ca  0.250  0.250  0.010 [2 per cell]
Ca  0.250  0.750  0.361 [2 per cell]
Bi  0.000  0.000  0.500 [4 per cell]
Bi  0.250  0.537  0.001 [4 per cell]
O  0.011  0.624  0.176 [8 per cell]
O  0.250  0.095  0.275 [4 per cell]
O  0.250  0.615  0.625 [4 per cell]



For CaBi2O4, a PBE-relaxed structure gives the theoretical X-ray diffraction stick pattern in this record (Cu Ka).
Peak positions follow from Bragg's law for the DFT cell and can differ from measured ones.

Largest 8 diffraction maxima, low angle first, 2θ from 10° to 90°:
- 16.8°, rel. 100
- 27.7°, rel. 41
- 28.3°, rel. 44
- 28.9°, rel. 69
- 31.6°, rel. 59
- 35.5°, rel. 43
- 41.5°, rel. 26
- 48.6°, rel. 24

Cell and atoms:
Unit cell a=14.301 b=3.524 c=11.183 alpha=90.00 beta=117.95 gamma=90.00
Space group C2/m (No. 12)
Symmetry-distinct sites (fractional):
Ca  0.207  0.000  0.225 [4 per cell]
Bi  0.119  0.500  0.435 [4 per cell]
Bi  0.128  0.000  0.866 [4 per cell]
O  0.071  0.000  0.291 [4 per cell]
O  0.116  0.500  0.736 [4 per cell]
O  0.201  0.500  0.081 [4 per cell]
O  0.245  0.000  0.603 [4 per cell]



For Ca2Bi10O17, a PBE-relaxed structure gives the theoretical X-ray diffraction stick pattern in this record (Cu Ka).
Peak positions follow from Bragg's law for the DFT cell and can differ from measured ones.

Largest 8 diffraction maxima, low angle first, 2θ from 10° to 90°:
- 28.0°, rel. 100
- 28.3°, rel. 71
- 29.1°, rel. 58
- 29.4°, rel. 59
- 30.1°, rel. 37
- 30.3°, rel. 41
- 30.9°, rel. 34
- 44.9°, rel. 33

Cell and atoms:
Unit cell a=7.765 b=7.883 c=9.787 alpha=89.99 beta=79.10 gamma=62.14
Space group P1 (No. 1)
Symmetry-distinct sites (fractional):
Ca  0.000  0.000  0.000 [1 per cell]
Ca  0.496  0.503  0.000 [1 per cell]
Bi  0.004  0.514  0.024 [1 per cell]
Bi  0.185  0.395  0.351 [1 per cell]
Bi  0.228  0.903  0.355 [1 per cell]
Bi  0.253  0.126  0.692 [1 per cell]
Bi  0.258  0.623  0.681 [1 per cell]
Bi  0.498  0.001  0.037 [1 per cell]
Bi  0.706  0.404  0.343 [1 per cell]
Bi  0.720  0.868  0.346 [1 per cell]
Bi  0.753  0.632  0.688 [1 per cell]
Bi  0.763  0.125  0.690 [1 per cell]
O  0.083  0.458  0.696 [1 per cell]
O  0.087  0.949  0.717 [1 per cell]
O  0.113  0.694  0.430 [1 per cell]
O  0.189  0.651  0.905 [1 per cell]
O  0.201  0.153  0.909 [1 per cell]
O  0.278  0.386  0.124 [1 per cell]
O  0.292  0.844  0.130 [1 per cell]
O  0.437  0.056  0.282 [1 per cell]
O  0.529  0.729  0.432 [1 per cell]
O  0.587  0.967  0.672 [1 per cell]
O  0.591  0.456  0.716 [1 per cell]
O  0.675  0.686  0.907 [1 per cell]
O  0.689  0.147  0.908 [1 per cell]
O  0.776  0.342  0.123 [1 per cell]
O  0.812  0.844  0.117 [1 per cell]
O  0.895  0.549  0.280 [1 per cell]
O  0.975  0.239  0.425 [1 per cell]



For CaBi2O5, a PBE-relaxed structure gives the theoretical X-ray diffraction stick pattern in this record (Cu Ka).
Peak positions follow from Bragg's law for the DFT cell and can differ from measured ones.

Largest 8 diffraction maxima, low angle first, 2θ from 10° to 90°:
- 15.5°, rel. 100
- 22.2°, rel. 33
- 23.3°, rel. 61
- 25.6°, rel. 50
- 30.3°, rel. 92
- 31.5°, rel. 56
- 37.6°, rel. 27
- 54.0°, rel. 27

Cell and atoms:
Unit cell a=4.267 b=11.435 c=13.129 alpha=90.00 beta=90.00 gamma=90.00
Space group Cmcm (No. 63)
Symmetry-distinct sites (fractional):
Ca  0.000  0.102  0.250 [4 per cell]
Bi  0.000  0.198  0.600 [8 per cell]
O  0.000  0.026  0.626 [8 per cell]
O  0.000  0.243  0.081 [8 per cell]
O  0.000  0.292  0.750 [4 per cell]



For CaBi2O5, a PBE-relaxed structure gives the theoretical X-ray diffraction stick pattern in this record (Cu Ka).
Peak positions follow from Bragg's law for the DFT cell and can differ from measured ones.

Largest 8 diffraction maxima, low angle first, 2θ from 10° to 90°:
- 15.8°, rel. 100
- 22.4°, rel. 35
- 23.0°, rel. 93
- 26.3°, rel. 79
- 31.1°, rel. 51
- 32.8°, rel. 40
- 33.5°, rel. 34
- 40.0°, rel. 33

Cell and atoms:
Unit cell a=5.951 b=12.161 c=8.899 alpha=90.00 beta=109.48 gamma=90.00
Space group P2_1/c (No. 14)
Symmetry-distinct sites (fractional):
Ca  0.045  0.088  0.172 [4 per cell]
Bi  0.360  0.631  0.043 [4 per cell]
Bi  0.461  0.096  0.851 [4 per cell]
O  0.211  0.713  0.495 [4 per cell]
O  0.215  0.545  0.186 [4 per cell]
O  0.272  0.025  0.014 [4 per cell]
O  0.316  0.201  0.350 [4 per cell]
O  0.327  0.548  0.835 [4 per cell]